The following is a simulated XRD peak list of K3V2P3O12. It was derived from a GGA+U-relaxed structure, using Cu Kα.

Structural model:
```
data_K3V2P3O12
_chemical_formula_sum 'K12 V8 P12 O48'
_cell_length_a 15.521
_cell_length_b 9.158
_cell_length_c 9.137
_cell_angle_alpha 90.00
_cell_angle_beta 123.59
_cell_angle_gamma 90.00
_symmetry_space_group_name_H-M 'C 1 2/c 1'
_symmetry_Int_Tables_number 15
_symmetry_space_group_name_Hall '-C 2yc'
loop_
_atom_site_label
_atom_site_fract_x
_atom_site_fract_y
_atom_site_fract_z
K1 0.177 0.079 0.249
K2 0.250 0.250 0.000
V1 0.095 0.253 0.547
P1 0.000 0.046 0.750
P2 0.143 0.402 0.254
O1 0.052 0.319 0.096
O2 0.069 0.145 0.717
O3 0.071 0.053 0.412
O4 0.141 0.431 0.724
O5 0.145 0.370 0.423
O6 0.246 0.339 0.282
```

Principal peaks in the range 15° ≤ 2θ ≤ 90°, sorted by position:
Position (°2θ), intensity, (hkl)
19.43, 21, 2 0 -2
27.59, 16, 4 0 0
30.54, 100, 0 2 2
30.72, 19, 5 1 -2
30.96, 50, 3 1 -3
34.10, 49, 3 3 -1
34.68, 19, 6 0 -2
46.28, 17, 0 4 2
46.58, 17, 6 2 0
47.17, 14, 6 2 -4